Starting from the PBE geometry in Alexandria, the powder XRD pattern of Th4Cd5Au2 was simulated for Cu Kα (weighted mean of Kα1 and Kα2).
Kinematic intensities with the Lorentz-polarization factor, no thermal factor.

Top 10 peaks for 2θ from 10° to 80°, sorted by position:
hkl 1 1 -2, 2θ = 32.81°, intensity 42
hkl 1 1 2, 2θ = 33.62°, intensity 40
hkl 3 0 -1, 2θ = 34.24°, intensity 52
hkl 2 1 0, 2θ = 34.54°, intensity 36
hkl 2 0 3, 2θ = 35.30°, intensity 100
hkl 2 1 1, 2θ = 36.00°, intensity 27
hkl 0 1 3, 2θ = 36.75°, intensity 30
hkl 2 1 -2, 2θ = 37.98°, intensity 32
hkl 4 1 1, 2θ = 54.52°, intensity 35
hkl 2 2 3, 2θ = 65.77°, intensity 40

```
Th4Cd5Au2
1.0
7.9885 0.0000 0.0000
0.0000 3.4227 0.0000
-0.7169 0.0000 10.4853
Th Cd Au
4 5 2
Cartesian
0.9414 0.0000 3.9808
1.4275 0.0000 9.9938
5.8441 0.0000 0.4915
6.3302 0.0000 6.5045
1.1988 1.7113 6.9641
3.3807 1.7113 2.1771
3.6358 1.7113 5.2427
3.8910 1.7113 8.3083
6.0728 1.7113 3.5213
0.3547 1.7113 1.4595
6.9169 1.7113 9.0259
```